Diffraction record for Ac7CdSn4. The X-ray powder pattern is computed, not measured: it uses a DFT-relaxed cell (GGA-PBE, Alexandria) and CuKα.

Structure:
a = 16.480 Å, b = 6.045 Å, c = 11.895 Å
α = 90.00°, β = 126.74°, γ = 90.00°
Space group C2/m (No. 12)
Asymmetric unit:
Ac 0.000 0.000 0.000
Ac 0.077 0.500 0.326
Ac 0.152 0.000 0.573
Ac 0.206 0.500 0.867
Cd 0.000 0.500 0.000
Sn 0.077 0.000 0.782
Sn 0.215 0.000 0.336

Principal peaks in the range 2θ = 5–70°, sorted by position:
d/Å	2θ (°)	Rel. int.
4.148	21.42	55
3.930	22.62	41
3.022	29.55	73
2.905	30.78	100
2.851	31.37	49
2.804	31.92	80
2.396	37.54	23
2.074	43.64	40
1.699	53.96	26
1.648	55.80	23